The following is a simulated powder X-ray diffraction pattern of Rb2NpNbO6. It was derived from a structure optimized by DFT (GGA-PBE), using copper Kα.

Top 12 peaks for 15 to 90 degrees two-theta, in order of rising 2θ:
two_theta  d/Å  I_rel  hkl
18.24  4.865  160  1 1 1
21.09  4.213  193  2 0 0
29.99  2.979  1000  2 2 0
35.33  2.541  112  3 1 1
42.93  2.107  304  4 0 0
47.01  1.933  57  3 3 1
48.30  1.884  86  4 2 0
53.26  1.720  410  4 2 2
62.34  1.490  191  4 4 0
70.71  1.332  180  6 2 0
78.67  1.216  64  4 4 4
86.42  1.126  219  6 4 2

Atomic structure:
```
data_Rb2NpNbO6
_chemical_formula_sum 'Rb8 Np4 Nb4 O24'
_space_group_name_H-M_alt 'F m -3 m'
_space_group_IT_number 225
_space_group_name_Hall '-F 4 2 3'
_cell_length_a 8.426
_cell_length_b 8.426
_cell_length_c 8.426
_cell_angle_alpha 90.00
_cell_angle_beta 90.00
_cell_angle_gamma 90.00
loop_
_atom_site_label
_atom_site_type_symbol
_atom_site_fract_x
_atom_site_fract_y
_atom_site_fract_z
Rb1 Rb 0.250 0.250 0.250
Np1 Np 0.000 0.000 0.000
Nb1 Nb 0.000 0.000 0.500
O1 O 0.000 0.000 0.257
```